Computed powder X-ray diffraction pattern
Compound: MgBi4O8
Radiation: λ = 1.5418 Å (Cu Kα)
Structure: a GGA-PBE-relaxed structure
Neutral-atom scattering factors, no anomalous dispersion.

Top 12 peaks for 10 to 90 degrees two-theta, by angle:
- 2θ 10.4, d = 8.478 Å, intensity 100
- 2θ 12.9, d = 6.858 Å, intensity 63
- 2θ 15.3, d = 5.783 Å, intensity 67
- 2θ 24.5, d = 3.628 Å, intensity 47
- 2θ 28.9, d = 3.085 Å, intensity 60
- 2θ 29.5, d = 3.026 Å, intensity 61
- 2θ 30.1, d = 2.966 Å, intensity 81
- 2θ 30.4, d = 2.940 Å, intensity 63
- 2θ 31.0, d = 2.886 Å, intensity 52
- 2θ 31.7, d = 2.826 Å, intensity 36
- 2θ 40.7, d = 2.219 Å, intensity 49
- 2θ 43.8, d = 2.066 Å, intensity 38

Crystal structure
```
data_MgBi4O8
_chemical_formula_sum 'Mg2 Bi8 O16'
_symmetry_space_group_name_H-M 'C 1 m 1'
_symmetry_Int_Tables_number 8
_cell_length_a 17.2053
_cell_length_b 3.4769
_cell_length_c 11.6111
_cell_angle_alpha 90.00
_cell_angle_beta 127.14
_cell_angle_gamma 90.00
loop_
_symmetry_equiv_pos_as_xyz
'x,y,z'
'x,-y,z'
'x+1/2,y+1/2,z'
'x+1/2,-y+1/2,z'
loop_
_atom_site_label
_atom_site_type_symbol
_atom_site_fract_x
_atom_site_fract_y
_atom_site_fract_z
_atom_site_occupancy
Mg1 Mg 0.0000 0.0000 0.0000 1
Bi1 Bi 0.1543 0.5000 0.9871 1
Bi2 Bi 0.1602 0.0000 0.3299 1
Bi3 Bi 0.3350 0.0000 0.9744 1
Bi4 Bi 0.3541 0.5000 0.6602 1
O1 O 0.0029 0.5000 0.8802 1
O2 O 0.1493 0.0000 0.8702 1
O3 O 0.1512 0.0000 0.1162 1
O4 O 0.2538 0.5000 0.3922 1
O5 O 0.2560 0.0000 0.5829 1
O6 O 0.3058 0.5000 0.0864 1
O7 O 0.3528 0.5000 0.8502 1
O8 O 0.4959 0.0000 0.1115 1
```